Na5Cr2PC4O16: simulated XRD peak list (CuKα), based on DFT lattice parameters and positions (GGA+U).
Intensities are scaled so that the largest is 100.

Crystal structure
Cell lengths 13.8637, 14.0591, 9.7587 Å; angles 90.00, 134.61, 90.00 degrees
Space group C2/c (No. 15)
Inequivalent atoms, fractional coordinates:
Na 0.0000 0.0762 0.2500 (multiplicity 4)
Na 0.2101 0.1274 0.7633 (multiplicity 8)
Na 0.2102 0.1276 0.1570 (multiplicity 8)
Cr 0.0000 0.5000 0.0000 (multiplicity 4)
Cr 0.2500 0.2500 0.5000 (multiplicity 4)
P 0.0000 0.1275 0.7500 (multiplicity 4)
C 0.0007 0.2878 0.0745 (multiplicity 8)
C 0.1771 0.4617 0.4269 (multiplicity 8)
O 0.0004 0.0615 0.6198 (multiplicity 8)
O 0.0468 0.3598 0.0547 (multiplicity 8)
O 0.0847 0.2268 0.2132 (multiplicity 8)
O 0.1208 0.4807 0.7858 (multiplicity 8)
O 0.1293 0.2725 0.5457 (multiplicity 8)
O 0.1311 0.1876 0.8814 (multiplicity 8)
O 0.1665 0.4752 0.5476 (multiplicity 8)
O 0.2479 0.1085 0.5429 (multiplicity 8)

Peak list (8 most intense, 2θ from 15° to 90°, by angle)
- hkl 0 2 1, 18.0 deg, rel. 61
- hkl 1 3 0, 21.0 deg, rel. 97
- hkl 3 1 -2, 21.3 deg, rel. 100
- hkl 1 5 -1, 33.1 deg, rel. 71
- hkl 5 1 -2, 33.5 deg, rel. 86
- hkl 1 1 -3, 33.6 deg, rel. 63
- hkl 5 1 -3, 33.6 deg, rel. 37
- hkl 4 0 0, 36.4 deg, rel. 96

AlMoO3: simulated XRD peak list (CuKα), based on DFT lattice parameters and positions (GGA+U).
Intensities are scaled so that the largest is 100.

Crystal structure
Cell lengths 5.5470, 5.5470, 12.0410 Å; angles 90.00, 90.00, 120.00 degrees
Space group P6_3cm (No. 185)
Inequivalent atoms, fractional coordinates:
Al 0.0000 0.0000 0.0000 (multiplicity 2)
Al 0.3333 0.6667 0.0224 (multiplicity 4)
Mo 0.0000 0.2989 0.2610 (multiplicity 6)
O 0.0000 0.0000 0.1589 (multiplicity 2)
O 0.0000 0.3041 0.4430 (multiplicity 6)
O 0.0000 0.4266 0.0986 (multiplicity 6)
O 0.3333 0.6667 0.2965 (multiplicity 4)

Peak list (8 most intense, 2θ from 15° to 90°, by angle)
- hkl 0 0 4, 29.7 deg, rel. 34
- hkl 1 1 1, 33.1 deg, rel. 100
- hkl 1 1 2, 35.6 deg, rel. 28
- hkl 1 1 3, 39.5 deg, rel. 25
- hkl 1 1 5, 50.2 deg, rel. 32
- hkl 1 1 6, 56.6 deg, rel. 17
- hkl 3 0 0, 57.6 deg, rel. 23
- hkl 3 0 4, 66.1 deg, rel. 18

ZnFeNiP2O9: simulated XRD peak list (CuKα), based on DFT lattice parameters and positions (GGA+U).
Intensities are scaled so that the largest is 100.

Crystal structure
Cell lengths 14.2097, 6.2312, 7.3867 Å; angles 90.00, 90.00, 90.00 degrees
Space group Pnma (No. 62)
Inequivalent atoms, fractional coordinates:
Zn 0.2208 0.2500 0.0708 (multiplicity 4)
Fe 0.1182 0.2500 0.6469 (multiplicity 4)
Ni 0.0000 0.0000 0.0000 (multiplicity 4)
P 0.0708 0.7500 0.6429 (multiplicity 4)
P 0.1952 0.7500 0.1207 (multiplicity 4)
O 0.0050 0.2500 0.5022 (multiplicity 4)
O 0.0234 0.7500 0.8342 (multiplicity 4)
O 0.0524 0.2500 0.8689 (multiplicity 4)
O 0.1392 0.5369 0.1090 (multiplicity 8)
O 0.1403 0.5608 0.6289 (multiplicity 8)
O 0.2280 0.2500 0.4695 (multiplicity 4)
O 0.2453 0.2500 0.7998 (multiplicity 4)

Peak list (8 most intense, 2θ from 15° to 90°, by angle)
- hkl 2 0 1, 17.3 deg, rel. 30
- hkl 1 0 2, 24.9 deg, rel. 100
- hkl 4 0 1, 27.9 deg, rel. 24
- hkl 0 2 0, 28.7 deg, rel. 32
- hkl 2 2 0, 31.4 deg, rel. 34
- hkl 1 2 1, 31.8 deg, rel. 34
- hkl 5 0 1, 33.8 deg, rel. 41
- hkl 2 2 2, 39.9 deg, rel. 25

CaMo2O4: simulated XRD peak list (CuKα), based on DFT lattice parameters and positions (GGA+U).
Intensities are scaled so that the largest is 100.

Crystal structure
Cell lengths 6.5855, 6.5855, 16.4199 Å; angles 90.00, 90.00, 120.00 degrees
Space group R3m (No. 160, hexagonal axes)
Inequivalent atoms, fractional coordinates:
Ca 0.0000 0.0000 0.0000 (multiplicity 3)
Ca 0.0000 0.0000 0.3736 (multiplicity 3)
Mo 0.0000 0.0000 0.5929 (multiplicity 3)
Mo 0.1675 0.3350 0.8289 (multiplicity 9)
O 0.0000 0.0000 0.2323 (multiplicity 3)
O 0.0000 0.0000 0.7650 (multiplicity 3)
O 0.0285 0.5142 0.7602 (multiplicity 9)
O 0.1749 0.3498 0.5731 (multiplicity 9)

Peak list (8 most intense, 2θ from 15° to 90°, by angle)
- hkl 0 0 3, 16.2 deg, rel. 79
- hkl 1 0 4, 26.8 deg, rel. 45
- hkl 0 1 5, 31.4 deg, rel. 60
- hkl 1 1 3, 31.7 deg, rel. 64
- hkl 0 2 1, 31.9 deg, rel. 100
- hkl 2 0 2, 33.3 deg, rel. 42
- hkl 0 2 4, 38.4 deg, rel. 58
- hkl 2 2 0, 55.8 deg, rel. 52

Li2MgCr3S6O24: simulated XRD peak list (CuKα), based on DFT lattice parameters and positions (GGA+U).
Intensities are scaled so that the largest is 100.

Crystal structure
Cell lengths 8.3919, 8.4529, 8.9609 Å; angles 62.41, 63.21, 60.40 degrees
Space group P1 (No. 1)
Inequivalent atoms, fractional coordinates:
Li 0.0000 0.0000 0.0000 (multiplicity 1)
Li 0.4202 0.3361 0.0024 (multiplicity 1)
Mg 0.4014 0.7285 0.9153 (multiplicity 1)
Cr 0.0842 0.4243 0.8271 (multiplicity 1)
Cr 0.5955 0.9159 0.3161 (multiplicity 1)
Cr 0.8793 0.2179 0.4447 (multiplicity 1)
S 0.1873 0.1190 0.6290 (multiplicity 1)
S 0.2714 0.0384 0.1280 (multiplicity 1)
S 0.4888 0.5180 0.6300 (multiplicity 1)
S 0.7007 0.3262 0.1222 (multiplicity 1)
S 0.7812 0.8271 0.6254 (multiplicity 1)
S 0.9972 0.6040 0.1201 (multiplicity 1)
O 0.1249 0.0683 0.2936 (multiplicity 1)
O 0.1990 0.9369 0.7804 (multiplicity 1)
O 0.2039 0.5672 0.0765 (multiplicity 1)
O 0.2070 0.2557 0.6751 (multiplicity 1)
O 0.2406 0.9173 0.0736 (multiplicity 1)
O 0.2607 0.2307 0.9850 (multiplicity 1)
O 0.2872 0.5400 0.6714 (multiplicity 1)
O 0.3350 0.0885 0.4677 (multiplicity 1)
O 0.4653 0.9537 0.1456 (multiplicity 1)
O 0.5100 0.5295 0.7819 (multiplicity 1)
O 0.5319 0.6674 0.4679 (multiplicity 1)
O 0.5772 0.5265 0.0735 (multiplicity 1)
O 0.5967 0.8532 0.7635 (multiplicity 1)
O 0.6178 0.2006 0.1303 (multiplicity 1)
O 0.6206 0.3244 0.6102 (multiplicity 1)
O 0.7292 0.2670 0.2938 (multiplicity 1)
O 0.7595 0.8698 0.4545 (multiplicity 1)
O 0.8671 0.9571 0.6051 (multiplicity 1)
O 0.8839 0.8024 0.1285 (multiplicity 1)
O 0.8948 0.2846 0.9841 (multiplicity 1)
O 0.9166 0.6249 0.6712 (multiplicity 1)
O 0.9357 0.4671 0.2917 (multiplicity 1)
O 0.9593 0.5910 0.9791 (multiplicity 1)
O 0.9908 0.2018 0.6095 (multiplicity 1)

Peak list (8 most intense, 2θ from 15° to 90°, by angle)
- hkl 1 0 -1, 19.6 deg, rel. 32
- hkl 0 1 -1, 19.7 deg, rel. 29
- hkl 1 1 2, 19.9 deg, rel. 33
- hkl -1 1 1, 23.9 deg, rel. 60
- hkl 1 2 0, 24.0 deg, rel. 100
- hkl 1 2 2, 24.2 deg, rel. 75
- hkl 2 1 2, 24.4 deg, rel. 56
- hkl 0 2 2, 28.9 deg, rel. 54